Record 1
The following is a calculated powder diffractogram of HoMoO4F. It was derived from a cell relaxed with GGA+U, using Cu Kα X-rays.
Lines closer than 0.1° are merged.

Structure:
Unit cell a=5.252 b=12.405 c=6.707 alpha=90.00 beta=113.24 gamma=90.00
Space group P2_1/c (No. 14)
One atom of each set of equivalent atoms:
Ho (0.139, 0.051, 0.300) [4 per cell]
Mo (0.421, 0.143, 0.870) [4 per cell]
O (0.190, 0.065, 0.962) [4 per cell]
O (0.261, 0.653, 0.406) [4 per cell]
O (0.307, 0.222, 0.295) [4 per cell]
O (0.497, 0.069, 0.662) [4 per cell]
F (0.044, 0.598, 0.964) [4 per cell]

Main lines, in order of rising 2θ (5° ≤ 2θ ≤ 70°):
2θ/deg  I/Imax  h k l
14.28  77.8  0 2 0
19.74  39.2  1 1 0
23.34  95.1  1 2 -1
27.52  48.8  1 0 -2
28.42  100.0  1 3 -1
28.55  54.6  1 1 1
31.18  50.1  1 2 1
32.32  33.3  0 4 1
34.36  26.1  1 4 -1
34.93  39.7  2 1 -1

=====

Record 2
The following is a calculated powder diffractogram of MnInF3. It was derived from a cell relaxed with GGA+U, using Cu Kα X-rays.
Lines closer than 0.1° are merged.

Structure:
Unit cell a=6.0921 b=6.0921 c=7.4537 alpha=90.00 beta=90.00 gamma=120.00
Space group R3m (No. 160, hexagonal axes)
One atom of each set of equivalent atoms:
Mn (0.0000, 0.0000, 0.0000) [3 per cell]
In (0.0000, 0.0000, 0.4955) [3 per cell]
F (0.1681, 0.3362, 0.8370) [9 per cell]

Main lines, in order of rising 2θ (5° ≤ 2θ ≤ 70°):
2θ/deg  I/Imax  h k l
20.63  7.5  1 0 1
29.33  100.0  1 1 0
36.13  23.3  0 2 1
41.96  41.8  2 0 2
47.19  4.4  1 1 3
52.02  39.4  1 2 2
60.84  24.7  2 2 0
64.97  2.4  0 1 5
68.96  16.5  3 1 2